No. 1
For TbNd5Y2Tm, a cell relaxed with PBE gives the calculated PXRD pattern in this record (Cu Kα X-rays).
Peak positions follow from Bragg's law for the DFT cell and can differ from measured ones.

Structural model:
```
data_TbNd5Y2Tm
_chemical_formula_sum 'Tb4 Nd20 Y8 Tm4'
_space_group_name_H-M_alt 'C m c 21'
_space_group_IT_number 36
_cell_length_a 5.6661
_cell_length_b 20.4638
_cell_length_c 10.7168
_cell_angle_alpha 90.00
_cell_angle_beta 90.00
_cell_angle_gamma 90.00
loop_
_space_group_symop_operation_xyz
'x,y,z'
'-x,-y,z+1/2'
'-x,y,z'
'x,-y,z+1/2'
'x+1/2,y+1/2,z'
'-x+1/2,-y+1/2,z+1/2'
'-x+1/2,y+1/2,z'
'x+1/2,-y+1/2,z+1/2'
loop_
_atom_site_label
_atom_site_type_symbol
_atom_site_fract_x
_atom_site_fract_y
_atom_site_fract_z
Tb1 Tb 0.0000 0.2000 0.0000
Nd1 Nd 0.0000 0.0168 0.0080
Nd2 Nd 0.0000 0.2808 0.3011
Nd3 Nd 0.0000 0.2966 0.6952
Nd4 Nd 0.0000 0.3875 0.0117
Nd5 Nd 0.0000 0.4830 0.7350
Y1 Y 0.0000 0.1117 0.7278
Y2 Y 0.0000 0.1150 0.3010
Tm1 Tm 0.0000 0.4077 0.4551
```

Peak list (6 most intense, 2θ = 10–90°, by intensity)
d = 2.821 Å, I = 100.0, (1 5 2); d = 2.833 Å, I = 36.1, (2 0 0); d = 2.989 Å, I = 30.0, (1 1 3); d = 1.633 Å, I = 19.5, (3 5 2); d = 3.250 Å, I = 14.7, (0 6 1); d = 2.679 Å, I = 13.8, (0 0 4)

---

No. 2
For Dy4SbOs, a cell relaxed with PBE gives the calculated PXRD pattern in this record (Cu Kα X-rays).
Peak positions follow from Bragg's law for the DFT cell and can differ from measured ones.

Structural model:
```
data_Dy4SbOs
_chemical_formula_sum 'Dy8 Sb2 Os2'
_space_group_name_H-M_alt 'P 1 21/m 1'
_space_group_IT_number 11
_cell_length_a 6.1077
_cell_length_b 6.5778
_cell_length_c 8.1975
_cell_angle_alpha 90.00
_cell_angle_beta 91.98
_cell_angle_gamma 90.00
loop_
_space_group_symop_operation_xyz
'x,y,z'
'-x,-y,-z'
'-x,y+1/2,-z'
'x,-y+1/2,z'
loop_
_atom_site_label
_atom_site_type_symbol
_atom_site_fract_x
_atom_site_fract_y
_atom_site_fract_z
Dy1 Dy 0.1081 0.0009 0.2111
Dy2 Dy 0.3455 0.2500 0.6206
Dy3 Dy 0.3916 0.7500 0.9070
Sb1 Sb 0.1932 0.7500 0.5441
Os1 Os 0.2020 0.2500 0.9375
```

Peak list (6 most intense, 2θ = 10–90°, by intensity)
d = 2.565 Å, I = 100.0, (0 2 2); d = 2.744 Å, I = 97.1, (1 2 -1); d = 2.894 Å, I = 96.8, (2 0 -1); d = 2.525 Å, I = 90.7, (1 0 -3); d = 2.598 Å, I = 76.4, (2 1 1); d = 8.193 Å, I = 49.6, (0 0 1)

---

No. 3
For Er3Si4Pd, a cell relaxed with PBE gives the calculated PXRD pattern in this record (Cu Kα X-rays).
Peak positions follow from Bragg's law for the DFT cell and can differ from measured ones.

Structural model:
```
data_Er3Si4Pd
_chemical_formula_sum 'Er6 Si8 Pd2'
_space_group_name_H-M_alt 'I m m m'
_space_group_IT_number 71
_space_group_name_Hall '-I 2 2'
_cell_length_a 4.2043
_cell_length_b 5.6538
_cell_length_c 14.5153
_cell_angle_alpha 90.00
_cell_angle_beta 90.00
_cell_angle_gamma 90.00
loop_
_atom_site_label
_atom_site_type_symbol
_atom_site_fract_x
_atom_site_fract_y
_atom_site_fract_z
Er1 Er 0.0000 0.0000 0.0000
Er2 Er 0.0000 0.5000 0.1937
Si1 Si 0.0000 0.2933 0.3782
Pd1 Pd 0.0000 0.0000 0.5000
```

Peak list (6 most intense, 2θ = 10–90°, by intensity)
d = 3.059 Å, I = 100.0, (1 1 2); d = 3.676 Å, I = 30.2, (0 1 3); d = 2.389 Å, I = 20.4, (1 0 5); d = 2.827 Å, I = 18.8, (0 2 0); d = 1.673 Å, I = 17.4, (1 3 2); d = 1.598 Å, I = 16.8, (1 1 8)